This entry pairs a crystal structure of ErIn3Cu8 with its simulated powder diffraction line list. Radiation: Cu Kα. Structure: a DFT-relaxed cell (GGA-PBE, Alexandria).
No peak broadening, texture or thermal motion is included.

Principal peaks in the range 15 to 90 degrees two-theta, low angle first:
2.534 Å, 2θ = 35.4°, rel. 51.9; 2.363 Å, 2θ = 38.1°, rel. 92.8; 2.171 Å, 2θ = 41.6°, rel. 100.0; 2.123 Å, 2θ = 42.6°, rel. 66.4; 1.428 Å, 2θ = 65.4°, rel. 35.4; 1.382 Å, 2θ = 67.8°, rel. 22.0; 1.335 Å, 2θ = 70.5°, rel. 31.6; 1.267 Å, 2θ = 75.0°, rel. 22.8; 1.181 Å, 2θ = 81.5°, rel. 15.2; 1.117 Å, 2θ = 87.3°, rel. 16.4

```
12
Lattice="5.0680 0.0000 0.0000 -2.5340 4.3890 0.0000 0.0000 0.0000 8.4123" Properties=species:S:1:pos:R:3 pbc="T T T"
Er 0.0000 0.0000 0.0000
In 0.0000 0.0000 3.1394
In 2.5340 1.4630 4.1572
In 2.5340 1.4630 7.2901
Cu 0.0000 1.4503 5.7238
Cu -1.2779 3.6638 5.7238
Cu 0.0000 2.9260 3.6398
Cu 0.0000 2.9260 7.8043
Cu 2.5340 0.0057 1.5563
Cu 1.2720 2.1916 1.5563
Cu 1.2779 3.6638 5.7238
Cu 3.7960 2.1916 1.5563
```

***

This entry pairs a crystal structure of V3In6Cl14 with its simulated powder diffraction line list. Radiation: Cu Kα. Structure: a DFT-relaxed cell (GGA-PBE, Alexandria).
No peak broadening, texture or thermal motion is included.

Principal peaks in the range 15 to 90 degrees two-theta, low angle first:
4.999 Å, 2θ = 17.7°, rel. 24.1; 4.279 Å, 2θ = 20.8°, rel. 43.8; 3.934 Å, 2θ = 22.6°, rel. 100.0; 2.886 Å, 2θ = 31.0°, rel. 23.7; 2.773 Å, 2θ = 32.3°, rel. 55.0; 2.688 Å, 2θ = 33.3°, rel. 27.9; 2.543 Å, 2θ = 35.3°, rel. 51.3; 2.437 Å, 2θ = 36.9°, rel. 21.7; 2.092 Å, 2θ = 43.2°, rel. 27.7; 2.064 Å, 2θ = 43.9°, rel. 20.3

```
23
Lattice="11.5455 0.0000 0.0000 -5.7728 9.9987 0.0000 0.0000 0.0000 6.3762" Properties=species:S:1:pos:R:3 pbc="T T T"
V 0.0000 0.0000 0.0000
V 0.0000 6.6658 1.0154
V 5.7728 3.3329 4.2784
In -0.6327 3.3779 4.7154
In -2.5311 8.8577 4.7154
In 2.5834 2.2835 1.4825
In 3.1638 7.7618 4.7154
In 8.2763 1.0955 1.4825
In 6.4586 6.6197 1.4825
Cl -0.4128 2.0603 1.3596
Cl -1.9591 5.9270 0.2038
Cl -3.7821 9.3260 1.3596
Cl 1.5928 1.3589 4.9994
Cl 0.0000 6.6658 3.2431
Cl 1.6193 5.3386 0.2038
Cl 0.3398 8.7318 0.2038
Cl 5.3603 1.2783 3.4970
Cl 4.1996 4.7174 3.4970
Cl 5.7728 3.3329 0.1328
Cl 4.1949 8.6111 1.3596
Cl 9.5723 0.7000 4.9994
Cl 7.7583 4.0030 3.4970
Cl 6.1532 7.9398 4.9994
```